Entry 1:
Calculated XRD peak list of Li3Si2Au3 for Cu Kα, from a cell relaxed with PBE.
No peak broadening, texture or thermal motion is included.

The 6 most intense peaks (15 to 90 degrees two-theta), by angle:
hkl 1 0 1, 2θ 20.76, rel. 644; hkl 0 4 0, 2θ 23.96, rel. 582; hkl 0 3 1, 2θ 24.81, rel. 852; hkl 1 3 1, 2θ 27.54, rel. 1000; hkl 2 3 0, 2θ 29.85, rel. 549; hkl 1 0 2, 2θ 36.53, rel. 670

abc: 7.516 14.862 5.206
angles: 90.00 90.00 90.00
Space group Pnma (No. 62)
Symmetry-distinct sites (fractional):
Li1 0.014 0.109 0.106 [8 per cell]
Li2 0.146 0.250 0.617 [4 per cell]
Si1 0.138 0.611 0.409 [8 per cell]
Au1 0.160 0.043 0.608 [8 per cell]
Au2 0.201 0.750 0.619 [4 per cell]

***

Entry 2:
Calculated XRD peak list of AcPm6Sm2Dy for Cu Kα, from a cell relaxed with PBE.
No peak broadening, texture or thermal motion is included.

The 6 most intense peaks (15 to 90 degrees two-theta), by angle:
hkl 1 3 2, 2θ 27.58, rel. 543; hkl 3 1 -1, 2θ 29.88, rel. 861; hkl 2 2 2, 2θ 30.22, rel. 1000; hkl 2 4 -1, 2θ 30.72, rel. 318; hkl 1 5 -1, 2θ 31.33, rel. 172; hkl 1 3 -3, 2θ 33.14, rel. 435

abc: 9.346 15.592 9.778
angles: 90.00 95.97 90.00
Space group C2/c (No. 15)
Symmetry-distinct sites (fractional):
Ac1 0.000 0.025 0.250 [4 per cell]
Pm1 0.060 0.190 0.945 [8 per cell]
Pm2 0.103 0.393 0.117 [8 per cell]
Pm3 0.212 0.227 0.313 [8 per cell]
Sm1 0.243 0.443 0.454 [8 per cell]
Dy1 0.000 0.411 0.750 [4 per cell]

***

Entry 3:
Calculated XRD peak list of Cd2TePd8 for Cu Kα, from a cell relaxed with PBE.
No peak broadening, texture or thermal motion is included.

The 6 most intense peaks (15 to 90 degrees two-theta), by angle:
hkl 5 1 0, 2θ 37.42, rel. 110; hkl 0 2 0, 2θ 38.55, rel. 571; hkl 1 1 2, 2θ 41.21, rel. 1000; hkl 6 2 0, 2θ 55.65, rel. 165; hkl 1 3 2, 2θ 71.55, rel. 292; hkl 4 2 -4, 2θ 76.85, rel. 112

abc: 15.177 4.672 5.854
angles: 90.00 112.60 90.00
Space group C2/m (No. 12)
Symmetry-distinct sites (fractional):
Cd1 0.180 0.000 0.180 [4 per cell]
Te1 0.000 0.500 0.500 [2 per cell]
Pd1 0.000 0.000 0.246 [4 per cell]
Pd2 0.148 0.500 0.390 [4 per cell]
Pd3 0.148 0.500 0.906 [4 per cell]
Pd4 0.179 0.000 0.679 [4 per cell]

***

Entry 4:
Calculated XRD peak list of AcLa3Pm2As6 for Cu Kα, from a cell relaxed with PBE.
No peak broadening, texture or thermal motion is included.

The 6 most intense peaks (15 to 90 degrees two-theta), by angle:
hkl 2 0 0, 2θ 25.00, rel. 208; hkl 1 3 1, 2θ 28.94, rel. 1000; hkl 2 0 2, 2θ 41.39, rel. 758; hkl 0 0 4, 2θ 51.30, rel. 270; hkl 3 3 3, 2θ 67.95, rel. 345; hkl 2 0 -6, 2θ 75.48, rel. 212

abc: 7.560 13.092 7.552
angles: 90.00 109.50 90.00
Space group C2/m (No. 12)
Symmetry-distinct sites (fractional):
Ac1 0.000 0.000 0.000 [2 per cell]
La1 0.000 0.166 0.500 [4 per cell]
La2 0.000 0.500 0.500 [2 per cell]
Pm1 0.000 0.333 0.000 [4 per cell]
As1 0.241 0.500 0.249 [4 per cell]
As2 0.246 0.329 0.751 [8 per cell]

***

Entry 5:
Calculated XRD peak list of Pr5N4O for Cu Kα, from a cell relaxed with PBE.
No peak broadening, texture or thermal motion is included.

The 6 most intense peaks (15 to 90 degrees two-theta), by angle:
hkl 1 1 0, 2θ 29.77, rel. 1000; hkl 0 2 0, 2θ 34.51, rel. 768; hkl 2 0 0, 2θ 49.61, rel. 533; hkl 1 3 0, 2θ 58.94, rel. 457; hkl 2 2 0, 2θ 61.84, rel. 179; hkl 3 0 5, 2θ 83.08, rel. 152

abc: 3.675 5.193 18.393
angles: 90.00 90.00 90.00
Space group Immm (No. 71)
Symmetry-distinct sites (fractional):
Pr1 0.000 0.000 0.000 [2 per cell]
Pr2 0.000 0.000 0.200 [4 per cell]
Pr3 0.000 0.000 0.397 [4 per cell]
N1 0.000 0.500 0.196 [4 per cell]
N2 0.000 0.500 0.402 [4 per cell]
O1 0.000 0.500 0.000 [2 per cell]

***

Entry 6:
Calculated XRD peak list of CeFe10B2 for Cu Kα, from a cell relaxed with PBE.
No peak broadening, texture or thermal motion is included.

The 6 most intense peaks (15 to 90 degrees two-theta), by angle:
hkl 0 2 3, 2θ 39.70, rel. 503; hkl 3 1 2, 2θ 41.54, rel. 478; hkl 4 0 0, 2θ 44.29, rel. 529; hkl 0 4 2, 2θ 45.53, rel. 392; hkl 2 2 3, 2θ 45.70, rel. 1000; hkl 3 3 1, 2θ 45.89, rel. 315

abc: 8.183 9.263 7.815
angles: 90.00 90.00 90.00
Space group Cmcm (No. 63)
Symmetry-distinct sites (fractional):
Ce1 0.000 0.112 0.250 [4 per cell]
Fe1 0.000 0.167 0.591 [8 per cell]
Fe2 0.000 0.387 0.075 [8 per cell]
Fe3 0.143 0.386 0.750 [8 per cell]
Fe4 0.233 0.000 0.000 [8 per cell]
Fe5 0.242 0.352 0.250 [8 per cell]
B1 0.250 0.250 0.000 [8 per cell]

***

Entry 7:
Calculated XRD peak list of Zr2Te3 for Cu Kα, from a cell relaxed with PBE.
No peak broadening, texture or thermal motion is included.

The 6 most intense peaks (15 to 90 degrees two-theta), by angle:
hkl 2 -1 3, 2θ 28.75, rel. 1000; hkl 1 1 6, 2θ 36.88, rel. 620; hkl 3 0 0, 2θ 45.01, rel. 385; hkl 1 1 9, 2θ 47.80, rel. 206; hkl 2 2 3, 2θ 54.29, rel. 159; hkl 3 0 12, 2θ 72.72, rel. 164

abc: 6.9768 6.9768 20.4356
angles: 90.00 90.00 120.00
Space group R-3 (No. 148, hexagonal axes)
Symmetry-distinct sites (fractional):
Zr1 0.0000 0.0000 0.0000 [3 per cell]
Zr2 0.0000 0.0000 0.1607 [6 per cell]
Zr3 0.0000 0.0000 0.5000 [3 per cell]
Te1 0.0028 0.3492 0.9216 [18 per cell]

***

Entry 8:
Calculated XRD peak list of MnV2Ni8 for Cu Kα, from a cell relaxed with PBE.
No peak broadening, texture or thermal motion is included.

The 6 most intense peaks (15 to 90 degrees two-theta), by angle:
hkl 1 2 3, 2θ 44.71, rel. 1000; hkl 0 4 0, 2θ 50.70, rel. 170; hkl 2 0 0, 2θ 52.41, rel. 153; hkl 0 0 6, 2θ 53.16, rel. 140; hkl 2 4 0, 2θ 75.92, rel. 92; hkl 0 4 6, 2θ 76.53, rel. 86

abc: 3.491 7.202 10.338
angles: 90.00 90.00 90.00
Space group Immm (No. 71)
Symmetry-distinct sites (fractional):
Mn1 0.000 0.000 0.000 [2 per cell]
V1 0.000 0.000 0.342 [4 per cell]
Ni1 0.000 0.249 0.500 [4 per cell]
Ni2 0.000 0.252 0.163 [8 per cell]
Ni3 0.000 0.500 0.325 [4 per cell]